Calculated X-ray diffraction stick pattern
Compound: CsAg9Sb4
Radiation: CuKα
Structure: a PBE-relaxed structure
Neutral-atom scattering factors, no anomalous dispersion.

Atomic structure:
Cell lengths 9.591, 9.591, 14.205 Å; angles 90.00, 90.00, 90.00 degrees
Space group I4/mcm (No. 140)
One atom of each set of equivalent atoms:
Cs 0.000 0.000 0.250 [4 per cell]
Ag 0.000 0.500 0.000 [4 per cell]
Ag 0.056 0.204 0.000 [16 per cell]
Ag 0.115 0.385 0.177 [16 per cell]
Sb 0.180 0.320 0.375 [16 per cell]

Peak list (12 most intense, 10° ≤ 2θ ≤ 90°, in order of rising 2θ)
2θ 13.1, I 35.2, hkl 1 1 0; 2θ 28.4, I 22.9, hkl 1 1 4; 2θ 29.2, I 24.5, hkl 2 2 2; 2θ 31.3, I 57.3, hkl 2 0 4; 2θ 32.1, I 94.9, hkl 3 1 2; 2θ 38.0, I 100.0, hkl 0 0 6; 2θ 38.8, I 93.8, hkl 3 2 3; 2θ 39.1, I 29.7, hkl 3 1 4; 2θ 39.2, I 88.2, hkl 4 1 1; 2θ 39.9, I 30.1, hkl 3 3 0; 2θ 45.7, I 23.1, hkl 4 0 4; 2θ 67.1, I 23.8, hkl 6 2 4